Computed X-ray diffraction stick pattern of Sr2Sb3Pt3 for CuKα, from a DFT-relaxed cell (PBE, the Materials Project).

Cell and atoms:
Cell lengths 5.884, 5.884, 21.635 Å; angles 90.00, 90.00, 90.00 degrees
Sites, in units of the cell vectors:
Sr: 0.000 0.000 0.241
Sr: 0.000 0.000 0.759
Sb: 0.000 0.000 0.000
Sb: 0.000 0.000 0.388
Sb: 0.000 0.000 0.612
Pt: 0.000 0.000 0.116
Pt: 0.000 0.000 0.500
Pt: 0.000 0.000 0.884

Largest 10 diffraction maxima, by intensity, 10 to 80 degrees two-theta:
2θ = 15.06°, d = 5.884 Å, intensity 100, hkl 1 0 0
2θ = 21.36°, d = 4.161 Å, intensity 45, hkl 1 1 0
2θ = 34.07°, d = 2.632 Å, intensity 28, hkl 2 1 0
2θ = 30.38°, d = 2.942 Å, intensity 19, hkl 2 0 0
2θ = 36.57°, d = 2.457 Å, intensity 19, hkl 1 0 8
2θ = 48.25°, d = 1.886 Å, intensity 17, hkl 2 1 8
2θ = 39.75°, d = 2.268 Å, intensity 15, hkl 1 1 8
2θ = 48.95°, d = 1.861 Å, intensity 10, hkl 3 1 0
2θ = 45.56°, d = 1.991 Å, intensity 10, hkl 2 0 8
2θ = 60.38°, d = 1.533 Å, intensity 9, hkl 3 1 8